[1]
For Pr5Sm8In, a cell relaxed with GGA-PBE gives the simulated X-ray powder pattern in this record (Cu Kα).

Top 12 peaks for 2θ = 15–90°, low angle first:
d 3.704, I = 14
d 3.054, I = 31
d 2.922, I = 49
d 2.900, I = 49
d 2.876, I = 100
d 2.820, I = 42
d 2.796, I = 26
d 2.781, I = 24
d 2.718, I = 19
d 1.657, I = 11
d 1.629, I = 18
d 1.602, I = 12

Cell lengths 8.9086, 8.9086, 8.6958 Å; angles 118.41, 118.41, 57.61 degrees
Element x y z (fractional)
Pr 0.0000 0.0000 0.0000
Pr 0.2295 0.5716 0.0426
Pr 0.4284 0.7705 0.9574
Pr 0.6122 0.2902 0.7284
Pr 0.7098 0.3878 0.2716
Sm 0.0724 0.5592 0.5746
Sm 0.0771 0.1737 0.6809
Sm 0.3766 0.2794 0.2876
Sm 0.4408 0.9276 0.4254
Sm 0.5374 0.0778 0.9277
Sm 0.7206 0.6234 0.7124
Sm 0.8263 0.9229 0.3191
Sm 0.9222 0.4626 0.0723
In 0.2811 0.7189 0.5000

=====

[2]
For RbNaHgBr4, a cell relaxed with GGA-PBE gives the simulated X-ray powder pattern in this record (Cu Kα).

Top 12 peaks for 2θ = 15–90°, low angle first:
d 5.847, I = 76
d 4.951, I = 44
d 4.388, I = 41
d 3.870, I = 61
d 3.407, I = 70
d 3.336, I = 59
d 3.101, I = 82
d 3.028, I = 100
d 2.633, I = 45
d 2.213, I = 40
d 2.050, I = 42
d 1.934, I = 52

Cell lengths 7.4901, 7.7404, 9.3035 Å; angles 90.00, 106.47, 90.00 degrees
Element x y z (fractional)
Rb 0.2275 0.2500 0.0505
Rb 0.7725 0.7500 0.9495
Na 0.2169 0.2500 0.5647
Na 0.7831 0.7500 0.4353
Hg 0.2393 0.7500 0.3339
Hg 0.7607 0.2500 0.6661
Br 0.0142 0.5065 0.7203
Br 0.0142 0.9935 0.7203
Br 0.4328 0.7500 0.1330
Br 0.4946 0.7500 0.5935
Br 0.5054 0.2500 0.4065
Br 0.5672 0.2500 0.8670
Br 0.9858 0.0065 0.2797
Br 0.9858 0.4935 0.2797

=====

[3]
For TeF, a cell relaxed with GGA-PBE gives the simulated X-ray powder pattern in this record (Cu Kα).

Top 12 peaks for 2θ = 15–90°, low angle first:
d 4.465, I = 60
d 3.157, I = 100
d 2.683, I = 33
d 2.484, I = 27
d 2.351, I = 22
d 2.233, I = 19
d 2.130, I = 16
d 2.080, I = 16
d 1.897, I = 22
d 1.756, I = 17
d 1.619, I = 13
d 1.579, I = 12

Cell lengths 3.1812, 3.1812, 4.4927 Å; angles 94.26, 94.26, 95.29 degrees
Element x y z (fractional)
Te 0.0000 0.0000 0.0000
F 0.0000 0.0000 0.5000

=====

[4]
For ThReSi2Ru, a cell relaxed with GGA-PBE gives the simulated X-ray powder pattern in this record (Cu Kα).

Top 12 peaks for 2θ = 15–90°, low angle first:
d 3.907, I = 45
d 2.586, I = 31
d 2.565, I = 100
d 2.440, I = 18
d 2.132, I = 37
d 1.871, I = 13
d 1.775, I = 10
d 1.645, I = 16
d 1.605, I = 20
d 1.507, I = 12
d 1.431, I = 18
d 1.299, I = 24

Cell lengths 5.7355, 5.7355, 5.7355 Å; angles 136.36, 136.36, 63.42 degrees
Element x y z (fractional)
Th 0.0000 0.0000 0.0000
Re 0.7500 0.2500 0.5000
Si 0.3686 0.3686 0.0000
Si 0.6314 0.6314 0.0000
Ru 0.2500 0.7500 0.5000

=====

- What is the formula in the second record?
  RbNaHgBr4

=====

- What is the formula in the first record?
  Pr5Sm8In